Computed XRD peak list
Compound: TbSn3Rh3
Radiation: CuKα
Structure: the PBE geometry in Alexandria

Top 6 peaks for 2θ = 10–90°, by intensity:
- 2θ = 30.65°, 2.917 Å, rel. 100
- 2θ = 47.62°, 1.910 Å, rel. 59
- 2θ = 24.92°, 3.573 Å, rel. 42
- 2θ = 51.13°, 1.786 Å, rel. 29
- 2θ = 43.89°, 2.063 Å, rel. 23
- 2θ = 75.23°, 1.263 Å, rel. 18

Atomic structure:
Lattice parameters (Å, degrees): 7.1452 7.1452 7.1452 90.00 90.00 90.00
Atoms (fractional coordinates):
Tb1 0.0000 0.0000 0.0000
Tb2 0.5000 0.5000 0.5000
Sn1 0.0000 0.2500 0.5000
Sn2 0.0000 0.7500 0.5000
Sn3 0.2500 0.5000 0.0000
Sn4 0.5000 0.0000 0.2500
Sn5 0.5000 0.0000 0.7500
Sn6 0.7500 0.5000 0.0000
Rh1 0.0000 0.5000 0.2500
Rh2 0.0000 0.5000 0.7500
Rh3 0.2500 0.0000 0.5000
Rh4 0.5000 0.2500 0.0000
Rh5 0.5000 0.7500 0.0000
Rh6 0.7500 0.0000 0.5000



Computed XRD peak list
Compound: Ba3La2
Radiation: CuKα
Structure: the PBE geometry in Alexandria

Top 6 peaks for 2θ = 10–90°, by intensity:
- 2θ = 26.77°, 3.330 Å, rel. 100
- 2θ = 30.89°, 2.895 Å, rel. 68
- 2θ = 26.36°, 3.381 Å, rel. 33
- 2θ = 52.48°, 1.744 Å, rel. 29
- 2θ = 44.52°, 2.035 Å, rel. 25
- 2θ = 43.99°, 2.059 Å, rel. 24

Atomic structure:
Lattice parameters (Å, degrees): 4.0706 4.0706 50.7152 90.00 90.00 120.00
Atoms (fractional coordinates):
Ba1 0.0000 0.0000 0.0000
Ba2 0.0000 0.0000 0.2037
Ba3 0.0000 0.0000 0.7963
Ba4 0.3333 0.6667 0.4629
Ba5 0.3333 0.6667 0.6667
Ba6 0.3333 0.6667 0.8704
Ba7 0.6667 0.3333 0.1296
Ba8 0.6667 0.3333 0.3333
Ba9 0.6667 0.3333 0.5371
La1 0.0000 0.0000 0.3986
La2 0.0000 0.0000 0.6014
La3 0.3333 0.6667 0.0653
La4 0.3333 0.6667 0.2680
La5 0.6667 0.3333 0.7320
La6 0.6667 0.3333 0.9347



Computed XRD peak list
Compound: InGe2PbSe6
Radiation: CuKα
Structure: the PBE geometry in Alexandria

Top 6 peaks for 2θ = 10–90°, by intensity:
- 2θ = 29.13°, 3.066 Å, rel. 100
- 2θ = 22.18°, 4.007 Å, rel. 58
- 2θ = 33.39°, 2.684 Å, rel. 56
- 2θ = 24.34°, 3.657 Å, rel. 55
- 2θ = 29.48°, 3.030 Å, rel. 46
- 2θ = 46.63°, 1.948 Å, rel. 43

Atomic structure:
Lattice parameters (Å, degrees): 9.3311 9.3311 7.8064 107.53 107.53 83.86
Atoms (fractional coordinates):
In1 0.2010 0.7990 0.7500
In2 0.7990 0.2010 0.2500
Ge1 0.2455 0.3762 0.2982
Ge2 0.3762 0.2455 0.7982
Ge3 0.6238 0.7545 0.2018
Ge4 0.7545 0.6238 0.7018
Pb1 0.1400 0.8600 0.2500
Pb2 0.8600 0.1400 0.7500
Se1 0.0604 0.1703 0.1517
Se2 0.1078 0.6061 0.4173
Se3 0.1703 0.0604 0.6517
Se4 0.2979 0.4445 0.0353
Se5 0.3939 0.8922 0.0827
Se6 0.4445 0.2979 0.5353
Se7 0.5555 0.7021 0.4647
Se8 0.6061 0.1078 0.9173
Se9 0.7021 0.5555 0.9647
Se10 0.8297 0.9396 0.3483
Se11 0.8922 0.3939 0.5827
Se12 0.9396 0.8297 0.8483